For Li3InPd4, a DFT-relaxed cell (PBE, Alexandria) gives the calculated PXRD pattern in this record (Cu Kα).

Most intense lines, 10 to 90 degrees two-theta, sorted by position:
| 2θ (°) | I_rel | index |
| --- | --- | --- |
| 21.6 | 22 | 1 1 0 |
| 28.8 | 19 | 0 0 2 |
| 29.0 | 39 | 0 2 0 |
| 32.5 | 15 | 2 0 -2 |
| 41.3 | 100 | 2 0 1 |
| 41.5 | 51 | 2 2 -1 |
| 75.3 | 15 | 2 2 3 |
| 75.6 | 24 | 4 2 0 |

Structural model:
Cell: 6.1474 6.1617 6.9139 Å, 90.00 116.31 90.00°
Positions (direct):
Li: 0.0000 0.0000 0.0000
Li: 0.2465 0.0000 0.4940
Li: 0.2535 0.5000 0.5060
Li: 0.5000 0.5000 0.0000
Li: 0.7465 0.5000 0.4940
Li: 0.7535 0.0000 0.5060
In: 0.0000 0.5000 0.0000
In: 0.5000 0.0000 0.0000
Pd: 0.1174 0.2501 0.7344
Pd: 0.1174 0.7499 0.7344
Pd: 0.3826 0.2499 0.2656
Pd: 0.3826 0.7501 0.2656
Pd: 0.6174 0.2499 0.7344
Pd: 0.6174 0.7501 0.7344
Pd: 0.8826 0.2501 0.2656
Pd: 0.8826 0.7499 0.2656